No. 1
The following is a simulated powder diffraction line list of Pr8Si3I3N. It was derived from a cell relaxed with PBE, using Cu Kα (weighted mean of Kα1 and Kα2).
No peak broadening, texture or thermal motion is included.

```
data_Pr8Si3I3N
_chemical_formula_sum 'Pr8 Si3 I3 N1'
_cell_length_a 9.2671
_cell_length_b 9.2671
_cell_length_c 9.2671
_cell_angle_alpha 54.06
_cell_angle_beta 54.06
_cell_angle_gamma 54.06
_symmetry_space_group_name_H-M 'P 1'
_symmetry_Int_Tables_number 1
loop_
_symmetry_equiv_pos_as_xyz
'x,y,z'
loop_
_atom_site_label
_atom_site_fract_x
_atom_site_fract_y
_atom_site_fract_z
_atom_site_occupancy
Pr1 0.2325 0.2325 0.2325 1
Pr2 0.2629 0.7102 0.7102 1
Pr3 0.2898 0.2898 0.7371 1
Pr4 0.2898 0.7371 0.2898 1
Pr5 0.7102 0.2629 0.7102 1
Pr6 0.7102 0.7102 0.2629 1
Pr7 0.7371 0.2898 0.2898 1
Pr8 0.7675 0.7675 0.7675 1
Si1 0.0000 0.0000 0.5000 1
Si2 0.0000 0.5000 0.0000 1
Si3 0.5000 0.0000 0.0000 1
I1 0.0000 0.5000 0.5000 1
I2 0.5000 0.0000 0.5000 1
I3 0.5000 0.5000 0.0000 1
N1 0.5000 0.5000 0.5000 1
```

Main lines, low angle first (15° ≤ 2θ ≤ 90°):
2θ (°)  Rel. int.
25.56  218
28.75  1000
30.95  363
34.10  183
39.21  217
42.95  365
52.51  155
55.94  222



No. 2
The following is a simulated powder diffraction line list of Sb2PtIN. It was derived from a cell relaxed with PBE, using Cu Kα (weighted mean of Kα1 and Kα2).
No peak broadening, texture or thermal motion is included.

```
data_Sb2PtIN
_chemical_formula_sum 'Sb2 Pt1 I1 N1'
_cell_length_a 4.7897
_cell_length_b 4.7897
_cell_length_c 4.6138
_cell_angle_alpha 90.00
_cell_angle_beta 90.00
_cell_angle_gamma 90.00
_symmetry_space_group_name_H-M 'P 1'
_symmetry_Int_Tables_number 1
loop_
_symmetry_equiv_pos_as_xyz
'x,y,z'
loop_
_atom_site_label
_atom_site_fract_x
_atom_site_fract_y
_atom_site_fract_z
_atom_site_occupancy
Sb1 0.0000 0.5000 0.0000 1
Sb2 0.5000 0.0000 0.0000 1
Pt1 0.0000 0.0000 0.5000 1
I1 0.5000 0.5000 0.5000 1
N1 0.5000 0.5000 0.0000 1
```

Main lines, low angle first (15° ≤ 2θ ≤ 90°):
2θ (°)  Rel. int.
32.80  1000
37.56  382
39.05  171
54.16  131
55.29  245
64.78  282
66.81  129
68.77  127



No. 3
The following is a simulated powder diffraction line list of Rb2ZrI6N. It was derived from a cell relaxed with PBE, using Cu Kα (weighted mean of Kα1 and Kα2).
No peak broadening, texture or thermal motion is included.

```
data_Rb2ZrI6N
_chemical_formula_sum 'Rb2 Zr1 I6 N1'
_cell_length_a 8.4871
_cell_length_b 8.4871
_cell_length_c 8.4871
_cell_angle_alpha 119.34
_cell_angle_beta 119.34
_cell_angle_gamma 91.15
_symmetry_space_group_name_H-M 'P 1'
_symmetry_Int_Tables_number 1
loop_
_symmetry_equiv_pos_as_xyz
'x,y,z'
loop_
_atom_site_label
_atom_site_fract_x
_atom_site_fract_y
_atom_site_fract_z
_atom_site_occupancy
Rb1 0.2500 0.7500 0.5000 1
Rb2 0.7500 0.2500 0.5000 1
Zr1 0.0000 0.0000 0.0000 1
I1 0.2379 0.2379 0.4758 1
I2 0.2379 0.7621 0.0000 1
I3 0.2428 0.2428 0.0000 1
I4 0.7572 0.7572 0.0000 1
I5 0.7621 0.2379 0.0000 1
I6 0.7621 0.7621 0.5242 1
N1 0.5000 0.5000 0.0000 1
```

Main lines, low angle first (15° ≤ 2θ ≤ 90°):
2θ (°)  Rel. int.
25.63  1000
29.47  555
30.09  267
42.17  200
42.62  394
50.00  299
50.79  148
52.67  205